The following is a theoretical powder X-ray diffraction pattern of Bi14MoO24. It was derived from a cell relaxed with PBE+U, using Cu Kα, 1.54184 Å.
Neutral-atom scattering factors, no anomalous dispersion.

Principal peaks in the range 10° ≤ 2θ ≤ 80°, in order of rising 2θ:
- (-2 1 2), 2θ = 27.1°, rel. 100
- (1 2 0), 2θ = 27.2°, rel. 50
- (1 2 -3), 2θ = 27.3°, rel. 49
- (0 0 3), 2θ = 31.2°, rel. 31
- (1 -3 1), 2θ = 31.6°, rel. 27
- (3 1 -2), 2θ = 31.8°, rel. 26
- (-1 3 2), 2θ = 45.0°, rel. 43
- (3 1 -5), 2θ = 45.3°, rel. 27
- (-2 1 5), 2θ = 53.3°, rel. 16
- (0 5 -1), 2θ = 53.7°, rel. 19

Atomic structure:
Cell lengths 8.933, 8.939, 10.621 Å; angles 114.55, 114.36, 90.51 degrees
Space group P1 (No. 1)
One atom of each set of equivalent atoms:
Bi1 0.000 0.000 0.000 [1 per cell]
Bi2 0.027 0.494 0.334 [1 per cell]
Bi3 0.080 0.937 0.655 [1 per cell]
Bi4 0.120 0.437 0.001 [1 per cell]
Bi5 0.213 0.876 0.321 [1 per cell]
Bi6 0.273 0.351 0.661 [1 per cell]
Bi7 0.344 0.783 0.005 [1 per cell]
Bi8 0.423 0.276 0.337 [1 per cell]
Bi9 0.495 0.743 0.659 [1 per cell]
Bi10 0.612 0.688 0.335 [1 per cell]
Bi11 0.690 0.159 0.662 [1 per cell]
Bi12 0.776 0.655 0.999 [1 per cell]
Bi13 0.829 0.084 0.332 [1 per cell]
Bi14 0.901 0.559 0.684 [1 per cell]
Mo1 0.527 0.209 0.964 [1 per cell]
O1 0.019 0.621 0.163 [1 per cell]
O2 0.046 0.042 0.490 [1 per cell]
O3 0.055 0.394 0.505 [1 per cell]
O4 0.098 0.824 0.843 [1 per cell]
O5 0.153 0.524 0.841 [1 per cell]
O6 0.175 0.333 0.232 [1 per cell]
O7 0.227 0.714 0.494 [1 per cell]
O8 0.254 0.980 0.160 [1 per cell]
O9 0.317 0.685 0.164 [1 per cell]
O10 0.385 0.224 0.500 [1 per cell]
O11 0.402 0.364 0.002 [1 per cell]
O12 0.440 0.083 0.757 [1 per cell]
O13 0.440 0.599 0.767 [1 per cell]
O14 0.521 0.076 0.051 [1 per cell]
O15 0.555 0.547 0.496 [1 per cell]
O16 0.560 0.887 0.499 [1 per cell]
O17 0.666 0.836 0.230 [1 per cell]
O18 0.728 0.219 0.500 [1 per cell]
O19 0.739 0.311 0.032 [1 per cell]
O20 0.796 0.758 0.843 [1 per cell]
O21 0.857 0.458 0.839 [1 per cell]
O22 0.883 0.716 0.495 [1 per cell]
O23 0.940 0.102 0.767 [1 per cell]
O24 0.954 0.915 0.158 [1 per cell]

***

The following is a theoretical powder X-ray diffraction pattern of BiMo2O10. It was derived from a cell relaxed with PBE+U, using Cu Kα, 1.54184 Å.
Neutral-atom scattering factors, no anomalous dispersion.

Principal peaks in the range 10° ≤ 2θ ≤ 80°, in order of rising 2θ:
- (0 0 1), 2θ = 15.7°, rel. 22
- (1 0 -1), 2θ = 18.7°, rel. 100
- (1 2 0), 2θ = 22.6°, rel. 29
- (1 0 1), 2θ = 26.4°, rel. 36
- (1 1 1), 2θ = 27.5°, rel. 37
- (0 3 1), 2θ = 28.1°, rel. 86
- (1 3 0), 2θ = 28.5°, rel. 68
- (1 0 -2), 2θ = 30.6°, rel. 32
- (2 2 -1), 2θ = 35.5°, rel. 22
- (2 3 -2), 2θ = 44.9°, rel. 23

Atomic structure:
Cell lengths 5.691, 11.551, 5.964 Å; angles 90.00, 109.04, 90.00 degrees
Space group P2_1/m (No. 11)
One atom of each set of equivalent atoms:
Bi1 0.129 0.250 0.263 [2 per cell]
Mo1 0.307 0.596 0.349 [4 per cell]
O1 0.100 0.624 0.503 [4 per cell]
O2 0.118 0.621 0.046 [4 per cell]
O3 0.346 0.068 0.375 [4 per cell]
O4 0.401 0.250 0.059 [2 per cell]
O5 0.449 0.084 0.888 [4 per cell]
O6 0.475 0.750 0.410 [2 per cell]

***

The following is a theoretical powder X-ray diffraction pattern of Bi2MoO6. It was derived from a cell relaxed with PBE+U, using Cu Kα, 1.54184 Å.
Neutral-atom scattering factors, no anomalous dispersion.

Principal peaks in the range 10° ≤ 2θ ≤ 80°, in order of rising 2θ:
- (0 2 0), 2θ = 10.5°, rel. 15
- (1 3 1), 2θ = 28.0°, rel. 100
- (0 6 0), 2θ = 31.8°, rel. 17
- (0 0 2), 2θ = 32.8°, rel. 14
- (2 0 0), 2θ = 32.9°, rel. 16
- (2 6 0), 2θ = 46.3°, rel. 26
- (2 0 2), 2θ = 47.1°, rel. 17
- (1 9 1), 2θ = 54.3°, rel. 17
- (1 3 3), 2θ = 55.7°, rel. 14
- (3 3 1), 2θ = 55.8°, rel. 15

Atomic structure:
Cell lengths 5.447, 16.899, 5.464 Å; angles 90.00, 90.00, 90.00 degrees
Space group Cmce (No. 64)
One atom of each set of equivalent atoms:
Bi1 0.000 0.173 0.025 [8 per cell]
Mo1 0.000 0.000 0.500 [4 per cell]
O1 0.000 0.110 0.419 [8 per cell]
O2 0.250 0.020 0.750 [8 per cell]
O3 0.250 0.249 0.750 [8 per cell]

***

The following is a theoretical powder X-ray diffraction pattern of BiMo2O10. It was derived from a cell relaxed with PBE+U, using Cu Kα, 1.54184 Å.
Neutral-atom scattering factors, no anomalous dispersion.

Principal peaks in the range 10° ≤ 2θ ≤ 80°, in order of rising 2θ:
- (0 2 0), 2θ = 15.2°, rel. 28
- (1 0 0), 2θ = 16.8°, rel. 31
- (1 0 -1), 2θ = 17.2°, rel. 100
- (1 1 0), 2θ = 18.5°, rel. 34
- (0 3 1), 2θ = 27.7°, rel. 77
- (1 3 0), 2θ = 28.5°, rel. 49
- (1 1 1), 2θ = 28.7°, rel. 61
- (2 0 -1), 2θ = 30.5°, rel. 24
- (0 0 2), 2θ = 31.4°, rel. 22
- (2 0 -3), 2θ = 45.0°, rel. 28

Atomic structure:
Cell lengths 5.869, 11.685, 6.337 Å; angles 90.00, 116.01, 90.00 degrees
Space group P2_1/m (No. 11)
One atom of each set of equivalent atoms:
Bi1 0.248 0.250 0.344 [2 per cell]
Mo1 0.086 0.595 0.207 [4 per cell]
O1 0.023 0.750 0.057 [2 per cell]
O2 0.040 0.068 0.159 [4 per cell]
O3 0.061 0.125 0.614 [4 per cell]
O4 0.412 0.615 0.379 [4 per cell]
O5 0.464 0.154 0.142 [4 per cell]
O6 0.469 0.750 0.940 [2 per cell]

***

The following is a theoretical powder X-ray diffraction pattern of BiMoO2. It was derived from a cell relaxed with PBE+U, using Cu Kα, 1.54184 Å.
Neutral-atom scattering factors, no anomalous dispersion.

Principal peaks in the range 10° ≤ 2θ ≤ 80°, in order of rising 2θ:
- (1 0 1), 2θ = 15.3°, rel. 19
- (0 0 4), 2θ = 28.4°, rel. 38
- (2 0 2), 2θ = 30.8°, rel. 100
- (2 2 0), 2θ = 38.9°, rel. 38
- (2 2 4), 2θ = 48.9°, rel. 34
- (2 0 6), 2θ = 51.8°, rel. 30
- (4 0 0), 2θ = 56.2°, rel. 12
- (4 0 4), 2θ = 64.1°, rel. 15
- (4 2 2), 2θ = 65.5°, rel. 26
- (4 2 6), 2θ = 79.9°, rel. 17

Atomic structure:
Cell lengths 6.546, 6.546, 12.584 Å; angles 90.00, 90.00, 90.00 degrees
Space group I4_1/amd (No. 141, origin choice 2)
One atom of each set of equivalent atoms:
Bi1 0.000 0.000 0.000 [8 per cell]
Mo1 0.000 0.000 0.500 [8 per cell]
O1 0.000 0.044 0.194 [16 per cell]

***

Please write out number 3 again, unchanged.
The following is a theoretical powder X-ray diffraction pattern of Bi2MoO6. It was derived from a cell relaxed with PBE+U, using Cu Kα, 1.54184 Å.
Neutral-atom scattering factors, no anomalous dispersion.

Principal peaks in the range 10° ≤ 2θ ≤ 80°, in order of rising 2θ:
- (0 2 0), 2θ = 10.5°, rel. 15
- (1 3 1), 2θ = 28.0°, rel. 100
- (0 6 0), 2θ = 31.8°, rel. 17
- (0 0 2), 2θ = 32.8°, rel. 14
- (2 0 0), 2θ = 32.9°, rel. 16
- (2 6 0), 2θ = 46.3°, rel. 26
- (2 0 2), 2θ = 47.1°, rel. 17
- (1 9 1), 2θ = 54.3°, rel. 17
- (1 3 3), 2θ = 55.7°, rel. 14
- (3 3 1), 2θ = 55.8°, rel. 15

Atomic structure:
Cell lengths 5.447, 16.899, 5.464 Å; angles 90.00, 90.00, 90.00 degrees
Space group Cmce (No. 64)
One atom of each set of equivalent atoms:
Bi1 0.000 0.173 0.025 [8 per cell]
Mo1 0.000 0.000 0.500 [4 per cell]
O1 0.000 0.110 0.419 [8 per cell]
O2 0.250 0.020 0.750 [8 per cell]
O3 0.250 0.249 0.750 [8 per cell]

***

Which formula does entry 3 have? Bi2MoO6